# 1
Theoretical powder diffractogram
Compound: Pu3SbPN
Radiation: Cu Ka
Structure: a crystal structure in Alexandria, relaxed with GGA-PBE
Intensities are scaled so that the largest is 100.

Main lines, most intense first (2θ from 10° to 90°):
32.8°, I 100, (2 1 -1); 29.3°, I 94, (0 1 2); 41.8°, I 38, (0 2 0); 35.4°, I 32, (2 0 -3); 37.2°, I 30, (2 0 2); 36.7°, I 24, (2 1 1)

Structure:
```
data_Pu3SbPN
_chemical_formula_sum 'Pu6 Sb2 P2 N2'
_cell_length_a 7.1424
_cell_length_b 4.3265
_cell_length_c 8.8712
_cell_angle_alpha 90.00
_cell_angle_beta 104.29
_cell_angle_gamma 90.00
_space_group_name_H-M_alt 'P 1 21/m 1'
_space_group_IT_number 11
_space_group_name_Hall '-P 2yb'
loop_
_atom_site_label
_atom_site_type_symbol
_atom_site_fract_x
_atom_site_fract_y
_atom_site_fract_z
Pu1 Pu 0.0071 0.2500 0.3495
Pu2 Pu 0.1895 0.7500 0.0651
Pu3 Pu 0.4663 0.2500 0.3068
Sb1 Sb 0.3067 0.2500 0.8270
P1 P 0.2664 0.7500 0.4118
N1 N 0.0876 0.2500 0.1259
```

***

# 2
Theoretical powder diffractogram
Compound: Pu2U4P3N2
Radiation: Cu Ka
Structure: a crystal structure in Alexandria, relaxed with GGA-PBE
Intensities are scaled so that the largest is 100.

Main lines, most intense first (2θ from 10° to 90°):
17.3°, I 100, (0 0 4); 37.9°, I 70, (2 0 0); 37.5°, I 60, (1 1 6); 41.9°, I 46, (2 0 4); 19.2°, I 45, (1 0 1); 26.0°, I 25, (0 0 6)

Structure:
```
data_Pu2U4P3N2
_chemical_formula_sum 'Pu4 U8 P6 N4'
_cell_length_a 4.7460
_cell_length_b 4.7460
_cell_length_c 20.5236
_cell_angle_alpha 90.00
_cell_angle_beta 90.00
_cell_angle_gamma 90.00
_space_group_name_H-M_alt 'I 4/m m m'
_space_group_IT_number 139
_space_group_name_Hall '-I 4 2'
loop_
_atom_site_label
_atom_site_type_symbol
_atom_site_fract_x
_atom_site_fract_y
_atom_site_fract_z
Pu1 Pu 0.0000 0.0000 0.1200
U1 U 0.0000 0.5000 0.1593
P1 P 0.0000 0.0000 0.0000
P2 P 0.0000 0.0000 0.2438
N1 N 0.0000 0.0000 0.3282
```

***

# 3
Theoretical powder diffractogram
Compound: RbP4N7
Radiation: Cu Ka
Structure: a crystal structure in Alexandria, relaxed with GGA-PBE
Intensities are scaled so that the largest is 100.

Main lines, most intense first (2θ from 10° to 90°):
29.7°, I 100, (2 2 1); 28.6°, I 44, (0 3 1); 28.0°, I 37, (2 3 0); 38.1°, I 24, (0 0 2); 36.0°, I 22, (4 0 0); 34.0°, I 15, (2 4 0)

Structure:
```
data_RbP4N7
_chemical_formula_sum 'Rb4 P16 N28'
_cell_length_a 9.9918
_cell_length_b 12.4388
_cell_length_c 4.7283
_cell_angle_alpha 90.00
_cell_angle_beta 90.00
_cell_angle_gamma 90.00
_space_group_name_H-M_alt 'P n m a'
_space_group_IT_number 62
_space_group_name_Hall '-P 2ac 2n'
loop_
_atom_site_label
_atom_site_type_symbol
_atom_site_fract_x
_atom_site_fract_y
_atom_site_fract_z
Rb1 Rb 0.1471 0.2500 0.2304
P1 P 0.0887 0.6300 0.2154
P2 P 0.1570 0.9998 0.7235
N1 N 0.0597 0.0995 0.6808
N2 N 0.1157 0.6064 0.8862
N3 N 0.1268 0.7500 0.2984
N4 N 0.2008 0.5446 0.3884
```

***

# 4
Theoretical powder diffractogram
Compound: RbTbPN3
Radiation: Cu Ka
Structure: a crystal structure in Alexandria, relaxed with GGA-PBE
Intensities are scaled so that the largest is 100.

Main lines, most intense first (2θ from 10° to 90°):
32.1°, I 100, (1 1 -2); 32.6°, I 42, (3 1 0); 11.2°, I 37, (0 0 1); 30.5°, I 30, (2 0 2); 24.6°, I 22, (1 1 0); 30.0°, I 19, (4 0 0)

Structure:
```
data_RbTbPN3
_chemical_formula_sum 'Rb4 Tb4 P4 N12'
_cell_length_a 12.4293
_cell_length_b 3.8010
_cell_length_c 8.2010
_cell_angle_alpha 90.00
_cell_angle_beta 106.27
_cell_angle_gamma 90.00
_space_group_name_H-M_alt 'C 1 2/m 1'
_space_group_IT_number 12
_space_group_name_Hall '-C 2y'
loop_
_atom_site_label
_atom_site_type_symbol
_atom_site_fract_x
_atom_site_fract_y
_atom_site_fract_z
Rb1 Rb 0.1448 0.0000 0.0596
Tb1 Tb 0.1483 0.0000 0.5698
P1 P 0.0115 0.5000 0.2785
N1 N 0.0099 0.0000 0.3048
N2 N 0.1260 0.5000 0.7427
N3 N 0.1509 0.5000 0.3709
```

***

# 5
Theoretical powder diffractogram
Compound: PRuSe2N
Radiation: Cu Ka
Structure: a crystal structure in Alexandria, relaxed with GGA-PBE
Intensities are scaled so that the largest is 100.

Main lines, most intense first (2θ from 10° to 90°):
35.8°, I 100, (2 0 0); 24.4°, I 68, (0 0 1); 43.9°, I 58, (2 0 1); 30.3°, I 49, (1 0 1); 17.7°, I 47, (1 0 0); 63.1°, I 36, (2 0 2)

Structure:
```
data_PRuSe2N
_chemical_formula_sum 'P1 Ru1 Se2 N1'
_cell_length_a 5.0104
_cell_length_b 5.0104
_cell_length_c 3.6436
_cell_angle_alpha 90.00
_cell_angle_beta 90.00
_cell_angle_gamma 90.00
_space_group_name_H-M_alt 'P 4/m m m'
_space_group_IT_number 123
_space_group_name_Hall '-P 4 2'
loop_
_atom_site_label
_atom_site_type_symbol
_atom_site_fract_x
_atom_site_fract_y
_atom_site_fract_z
P1 P 0.0000 0.0000 0.0000
Ru1 Ru 0.5000 0.5000 0.5000
Se1 Se 0.0000 0.5000 0.5000
N1 N 0.5000 0.5000 0.0000
```

***

# 6
Theoretical powder diffractogram
Compound: P2RuSeN
Radiation: Cu Ka
Structure: a crystal structure in Alexandria, relaxed with GGA-PBE
Intensities are scaled so that the largest is 100.

Main lines, most intense first (2θ from 10° to 90°):
22.2°, I 100, (1 1 0); 41.7°, I 52, (3 1 -1); 32.3°, I 46, (2 0 1); 39.2°, I 45, (0 2 0); 28.1°, I 38, (2 0 -1); 46.3°, I 35, (3 1 1)

Structure:
```
data_P2RuSeN
_chemical_formula_sum 'P4 Ru2 Se2 N2'
_cell_length_a 8.2878
_cell_length_b 4.5914
_cell_length_c 4.2839
_cell_angle_alpha 90.00
_cell_angle_beta 97.75
_cell_angle_gamma 90.00
_space_group_name_H-M_alt 'C 1 m 1'
_space_group_IT_number 8
_space_group_name_Hall 'C -2y'
loop_
_atom_site_label
_atom_site_type_symbol
_atom_site_fract_x
_atom_site_fract_y
_atom_site_fract_z
P1 P 0.0000 0.0000 0.0000
P2 P 0.1801 0.0000 0.6276
Ru1 Ru 0.3946 0.0000 0.0149
Se1 Se 0.0662 0.5000 0.5816
N1 N 0.1857 0.0000 0.2373
```

***

# 7
Theoretical powder diffractogram
Compound: P2RuSeN
Radiation: Cu Ka
Structure: a crystal structure in Alexandria, relaxed with GGA-PBE
Intensities are scaled so that the largest is 100.

Main lines, most intense first (2θ from 10° to 90°):
15.4°, I 100, (0 0 1); 31.0°, I 41, (0 0 2); 33.1°, I 40, (1 1 0); 38.6°, I 33, (1 1 1); 47.3°, I 30, (0 0 3); 39.6°, I 30, (4 0 -1)

Structure:
```
data_P2RuSeN
_chemical_formula_sum 'P4 Ru2 Se2 N2'
_cell_length_a 9.1120
_cell_length_b 2.8618
_cell_length_c 6.2986
_cell_angle_alpha 90.00
_cell_angle_beta 113.80
_cell_angle_gamma 90.00
_space_group_name_H-M_alt 'C 1 m 1'
_space_group_IT_number 8
_space_group_name_Hall 'C -2y'
loop_
_atom_site_label
_atom_site_type_symbol
_atom_site_fract_x
_atom_site_fract_y
_atom_site_fract_z
P1 P 0.0000 0.0000 0.0000
P2 P 0.1918 0.5000 0.7386
Ru1 Ru 0.0949 0.0000 0.4032
Se1 Se 0.3376 0.5000 0.4443
N1 N 0.0756 0.5000 0.9083
```

***

# 8
Theoretical powder diffractogram
Compound: Y6PS2N2
Radiation: Cu Ka
Structure: a crystal structure in Alexandria, relaxed with GGA-PBE
Intensities are scaled so that the largest is 100.

Main lines, most intense first (2θ from 10° to 90°):
33.8°, I 100, (1 3 1); 29.3°, I 86, (2 0 0); 34.0°, I 48, (2 0 -2); 48.4°, I 44, (2 0 2); 48.9°, I 33, (3 3 -1); 28.9°, I 27, (0 0 2)

Structure:
```
data_Y6PS2N2
_chemical_formula_sum 'Y12 P2 S4 N4'
_cell_length_a 6.4394
_cell_length_b 11.2201
_cell_length_c 6.5324
_cell_angle_alpha 90.00
_cell_angle_beta 109.03
_cell_angle_gamma 90.00
_space_group_name_H-M_alt 'C 1 2/m 1'
_space_group_IT_number 12
_space_group_name_Hall '-C 2y'
loop_
_atom_site_label
_atom_site_type_symbol
_atom_site_fract_x
_atom_site_fract_y
_atom_site_fract_z
Y1 Y 0.2220 0.0000 0.2182
Y2 Y 0.2445 0.1759 0.7765
P1 P 0.0000 0.0000 0.5000
S1 S 0.0000 0.3384 0.5000
N1 N 0.0000 0.1663 0.0000
```

***

# 9
Theoretical powder diffractogram
Compound: SbPN
Radiation: Cu Ka
Structure: a crystal structure in Alexandria, relaxed with GGA-PBE
Intensities are scaled so that the largest is 100.

Main lines, most intense first (2θ from 10° to 90°):
11.6°, I 100, (0 0 2); 17.5°, I 62, (0 0 3); 27.6°, I 35, (0 1 0); 48.7°, I 26, (2 1 1); 33.4°, I 26, (0 1 -3); 34.0°, I 18, (1 0 -3)

Structure:
```
data_SbPN
_chemical_formula_sum 'Sb2 P2 N2'
_cell_length_a 3.7402
_cell_length_b 3.7425
_cell_length_c 15.3292
_cell_angle_alpha 84.86
_cell_angle_beta 83.61
_cell_angle_gamma 60.03
_space_group_name_H-M_alt 'P -1'
_space_group_IT_number 2
_space_group_name_Hall '-P 1'
loop_
_atom_site_label
_atom_site_type_symbol
_atom_site_fract_x
_atom_site_fract_y
_atom_site_fract_z
Sb1 Sb 0.1072 0.1096 0.2132
P1 P 0.1918 0.2064 0.8811
N1 N 0.4318 0.0962 0.5294
```

***

# 10
Theoretical powder diffractogram
Compound: ScP2N4
Radiation: Cu Ka
Structure: a crystal structure in Alexandria, relaxed with GGA-PBE
Intensities are scaled so that the largest is 100.

Main lines, most intense first (2θ from 10° to 90°):
36.7°, I 100, (1 1 2); 24.2°, I 47, (1 0 1); 58.8°, I 30, (2 0 4); 16.9°, I 29, (0 0 2); 34.3°, I 17, (1 0 3); 79.4°, I 17, (3 1 2)

Structure:
```
data_ScP2N4
_chemical_formula_sum 'Sc2 P4 N8'
_cell_length_a 3.9201
_cell_length_b 3.9201
_cell_length_c 10.5061
_cell_angle_alpha 90.00
_cell_angle_beta 90.00
_cell_angle_gamma 90.00
_space_group_name_H-M_alt 'I -4 2 m'
_space_group_IT_number 121
_space_group_name_Hall 'I -4 2'
loop_
_atom_site_label
_atom_site_type_symbol
_atom_site_fract_x
_atom_site_fract_y
_atom_site_fract_z
Sc1 Sc 0.0000 0.0000 0.0000
P1 P 0.0000 0.5000 0.2500
N1 N 0.2485 0.2485 0.8405
```